Starting from a DFT-relaxed cell (PBE, OQMD), the XRD peak list of GdY2Fe9 was calculated for Cu Ka.

Most intense lines, 10° ≤ 2θ ≤ 90°, sorted by position:
2θ/deg  I_rel  (hkl)
32.99  34.7  1 0 7
35.37  41.3  1 1 0
36.08  28.8  0 1 8
41.24  36.2  0 2 1
42.08  100.0  1 1 6
68.09  22.2  0 3 6

Structure:
Unit cell a=5.0758 b=5.0758 c=24.1658 alpha=90.00 beta=90.00 gamma=120.00
Space group R-3m (No. 166, hexagonal axes)
Unique sites:
1 Gd 0.0000 0.0000 0.0000 x3
2 Y 0.0000 0.0000 0.1420 x6
3 Fe 0.0000 0.0000 0.3326 x6
4 Fe 0.0000 0.0000 0.5000 x3
5 Fe 0.0011 0.5006 0.0811 x18



Starting from a DFT-relaxed cell (PBE, OQMD), the XRD peak list of Ga2HgTeSe3 was calculated for Cu Ka.

Most intense lines, 10° ≤ 2θ ≤ 90°, sorted by position:
2θ/deg  I_rel  (hkl)
26.03  49.0  -1 1 1
26.27  100.0  1 -1 1
26.91  39.8  1 1 -2
42.19  27.6  2 -2 0
43.48  23.6  0 2 1
44.62  40.3  2 0 -3

Structure:
Unit cell a=5.9336 b=6.0297 c=6.9239 alpha=113.88 beta=114.13 gamma=91.48
Space group P1 (No. 1)
Unique sites:
1 Ga 0.0000 0.0000 0.0000 x1
2 Ga 0.2581 0.7747 0.5139 x1
3 Hg 0.4927 0.5138 0.0062 x1
4 Te 0.8891 0.3689 0.2959 x1
5 Se 0.0917 0.1067 0.7281 x1
6 Se 0.3728 0.9196 0.2732 x1
7 Se 0.6311 0.6430 0.7281 x1



Starting from a DFT-relaxed cell (PBE, OQMD), the XRD peak list of NdYCu2Sb4 was calculated for Cu Ka.

Most intense lines, 10° ≤ 2θ ≤ 90°, sorted by position:
2θ/deg  I_rel  (hkl)
27.28  19.2  1 0 2
30.52  16.2  1 1 1
34.02  15.8  1 0 3
34.36  100.0  1 1 2
41.69  42.4  2 0 0
71.39  22.6  3 1 2

Structure:
Unit cell a=4.3333 b=4.3333 c=9.9611 alpha=90.00 beta=90.00 gamma=90.00
Space group P4mm (No. 99)
Unique sites:
1 Nd 0.0000 0.0000 0.0000 x1
2 Y 0.5000 0.5000 0.4993 x1
3 Cu 0.0000 0.5000 0.2535 x2
4 Sb 0.0000 0.0000 0.4102 x1
5 Sb 0.0000 0.5000 0.7449 x2
6 Sb 0.5000 0.5000 0.0959 x1



Starting from a DFT-relaxed cell (PBE, OQMD), the XRD peak list of Co3SiH was calculated for Cu Ka.

Most intense lines, 10° ≤ 2θ ≤ 90°, sorted by position:
2θ/deg  I_rel  (hkl)
43.14  33.7  2 1 1
44.45  100.0  2 0 2
49.42  24.0  0 0 4
52.95  23.2  2 2 0
56.29  14.4  2 1 3
75.35  15.0  2 2 4

Structure:
Unit cell a=4.8910 b=4.8910 c=7.3765 alpha=90.00 beta=90.00 gamma=90.00
Space group I4/mcm (No. 140)
Unique sites:
1 Co 0.0000 0.0000 0.2500 x4
2 Co 0.1964 0.3036 0.0000 x8
3 Si 0.0000 0.5000 0.2500 x4
4 H 0.0000 0.0000 0.0000 x4



Starting from a DFT-relaxed cell (PBE, OQMD), the XRD peak list of Tm5Ge10Os4 was calculated for Cu Ka.

Most intense lines, 10° ≤ 2θ ≤ 90°, sorted by position:
2θ/deg  I_rel  (hkl)
32.45  26.7  3 2 1
34.63  100.0  4 0 1
35.33  32.6  4 1 1
36.01  75.3  3 3 1
42.34  52.0  0 0 2
67.97  23.9  8 4 1

Structure:
Unit cell a=13.0352 b=13.0352 c=4.2691 alpha=90.00 beta=90.00 gamma=90.00
Space group P4/mbm (No. 127)
Unique sites:
1 Tm 0.0000 0.0000 0.0000 x2
2 Tm 0.1176 0.3824 0.5000 x4
3 Tm 0.1720 0.6720 0.5000 x4
4 Ge 0.0078 0.8434 0.5000 x8
5 Ge 0.0674 0.5674 0.0000 x4
6 Ge 0.1646 0.1985 0.0000 x8
7 Os 0.0182 0.7521 0.0000 x8